1.
PmReW: theoretical powder diffraction line list (copper Kα), based on DFT lattice parameters and positions (PBE).
Intensities are scaled so that the largest is 100.

Crystal structure
```
data_PmReW
_chemical_formula_sum 'Pm4 Re4 W4'
_symmetry_space_group_name_H-M 'I m m a'
_symmetry_Int_Tables_number 74
_symmetry_space_group_name_Hall '-I 2b 2'
_cell_length_a 5.522
_cell_length_b 5.595
_cell_length_c 7.790
_cell_angle_alpha 90.00
_cell_angle_beta 90.00
_cell_angle_gamma 90.00
loop_
_atom_site_label
_atom_site_type_symbol
_atom_site_fract_x
_atom_site_fract_y
_atom_site_fract_z
Pm1 Pm 0.000 0.250 0.123
Re1 Re 0.250 0.250 0.750
W1 W 0.000 0.000 0.500
```

Main lines, by angle (2θ = 15–90°):
32.4 deg, rel. 34
37.9 deg, rel. 67
38.2 deg, rel. 100
38.3 deg, rel. 31
39.7 deg, rel. 47
40.0 deg, rel. 48
61.2 deg, rel. 25
67.7 deg, rel. 40

2.
PmZrRe: theoretical powder diffraction line list (copper Kα), based on DFT lattice parameters and positions (PBE).
Intensities are scaled so that the largest is 100.

Crystal structure
```
data_PmZrRe
_chemical_formula_sum 'Pm18 Zr18 Re18'
_symmetry_space_group_name_H-M 'R -3 m'
_symmetry_Int_Tables_number 166
_symmetry_space_group_name_Hall '-R 3 2"'
_cell_length_a 5.9752
_cell_length_b 5.9752
_cell_length_c 40.0405
_cell_angle_alpha 90.00
_cell_angle_beta 90.00
_cell_angle_gamma 120.00
loop_
_atom_site_label
_atom_site_type_symbol
_atom_site_fract_x
_atom_site_fract_y
_atom_site_fract_z
Pm1 Pm 0.0000 0.0000 0.0368
Pm2 Pm 0.0000 0.0000 0.1803
Pm3 Pm 0.0000 0.0000 0.2709
Zr1 Zr 0.0094 0.5047 0.2234
Re1 Re 0.0000 0.0000 0.3819
Re2 Re 0.0000 0.0000 0.5000
Re3 Re 0.0000 0.5000 0.0000
```

Main lines, by angle (2θ = 15–90°):
29.9 deg, rel. 41
33.9 deg, rel. 21
35.9 deg, rel. 47
36.2 deg, rel. 100
36.5 deg, rel. 34
40.5 deg, rel. 18
57.3 deg, rel. 27
62.1 deg, rel. 29

3.
Pm3Rh: theoretical powder diffraction line list (copper Kα), based on DFT lattice parameters and positions (PBE).
Intensities are scaled so that the largest is 100.

Crystal structure
```
data_Pm3Rh
_chemical_formula_sum 'Pm24 Rh8'
_symmetry_space_group_name_H-M 'I -4 2 m'
_symmetry_Int_Tables_number 121
_symmetry_space_group_name_Hall 'I -4 2'
_cell_length_a 11.990
_cell_length_b 11.990
_cell_length_c 6.238
_cell_angle_alpha 90.00
_cell_angle_beta 90.00
_cell_angle_gamma 90.00
loop_
_atom_site_label
_atom_site_type_symbol
_atom_site_fract_x
_atom_site_fract_y
_atom_site_fract_z
Pm1 Pm 0.000 0.358 0.000
Pm2 Pm 0.093 0.093 0.750
Pm3 Pm 0.202 0.202 0.308
Rh1 Rh 0.000 0.302 0.500
```

Main lines, by angle (2θ = 15–90°):
30.5 deg, rel. 100
31.7 deg, rel. 34
33.4 deg, rel. 23
34.0 deg, rel. 53
35.7 deg, rel. 23
43.2 deg, rel. 19
51.9 deg, rel. 15
54.5 deg, rel. 14

4.
PmRh4: theoretical powder diffraction line list (copper Kα), based on DFT lattice parameters and positions (PBE).
Intensities are scaled so that the largest is 100.

Crystal structure
```
data_PmRh4
_chemical_formula_sum 'Pm1 Rh4'
_symmetry_space_group_name_H-M 'P m -3 m'
_symmetry_Int_Tables_number 221
_symmetry_space_group_name_Hall '-P 4 2 3'
_cell_length_a 4.872
_cell_length_b 4.872
_cell_length_c 4.872
_cell_angle_alpha 90.00
_cell_angle_beta 90.00
_cell_angle_gamma 90.00
loop_
_atom_site_label
_atom_site_type_symbol
_atom_site_fract_x
_atom_site_fract_y
_atom_site_fract_z
Pm1 Pm 0.000 0.000 0.000
Rh1 Rh 0.000 0.000 0.500
Rh2 Rh 0.500 0.500 0.500
```

Main lines, by angle (2θ = 15–90°):
18.2 deg, rel. 39
25.9 deg, rel. 34
31.8 deg, rel. 47
36.9 deg, rel. 100
41.4 deg, rel. 19
53.2 deg, rel. 69
63.3 deg, rel. 18
66.5 deg, rel. 23